Diffraction record for ErLuAg4. The powder diffractogram is calculated, not measured: it uses a crystal structure in OQMD, relaxed with GGA-PBE and λ = 1.5418 Å (Cu Kα).
Kinematic intensities with the Lorentz-polarization factor, no thermal factor.

Most intense lines, 2θ = 15–90°, in order of rising 2θ:
| 2θ/deg | d/Å | Rel. int. |
| --- | --- | --- |
| 34.48 | 2.601 | 66.9 |
| 38.29 | 2.351 | 100.0 |
| 49.56 | 1.839 | 23.5 |
| 64.31 | 1.449 | 42.0 |
| 71.61 | 1.318 | 15.1 |
| 81.97 | 1.175 | 10.6 |

Structure:
a b c (Å): 3.679 3.679 9.170
angles (deg): 90.00 90.00 90.00
Fractional positions:
Er  0.000  0.000  0.000
Lu  0.500  0.500  0.500
Ag  0.000  0.000  0.331
Ag  0.000  0.000  0.669
Ag  0.500  0.500  0.170
Ag  0.500  0.500  0.830